No. 1
This entry pairs a crystal structure of Ce7Ru2Pt with its simulated powder diffractogram. Radiation: Cu Ka. Structure: a GGA-PBE-relaxed structure.

Principal peaks in the range 2θ = 10–90°, by angle:
| 2θ (°) | intensity | h k l |
| --- | --- | --- |
| 18.2 | 37 | 0 0 1 |
| 26.5 | 39 | 2 0 1 |
| 29.7 | 33 | 3 1 0 |
| 33.8 | 50 | 0 4 1 |
| 34.3 | 78 | 2 4 0 |
| 35.0 | 100 | 3 1 1 |
| 36.8 | 69 | 0 0 2 |
| 41.4 | 59 | 1 5 1 |
| 51.2 | 66 | 2 4 2 |
| 65.2 | 56 | 5 5 1 |

```
data_Ce7Ru2Pt
_chemical_formula_sum 'Ce14 Ru4 Pt2'
_cell_length_a 9.290
_cell_length_b 12.630
_cell_length_c 4.879
_cell_angle_alpha 90.00
_cell_angle_beta 90.00
_cell_angle_gamma 90.00
_space_group_name_H-M_alt 'C m m m'
_space_group_IT_number 65
_space_group_name_Hall '-C 2 2'
loop_
_atom_site_label
_atom_site_fract_x
_atom_site_fract_y
_atom_site_fract_z
Ce1 0.000 0.000 0.000
Ce2 0.000 0.254 0.500
Ce3 0.185 0.394 0.000
Ru1 0.000 0.197 0.000
Pt1 0.000 0.500 0.500
```

=====

No. 2
This entry pairs a crystal structure of La2CeNi4Ge3 with its simulated powder diffractogram. Radiation: Cu Ka. Structure: a GGA-PBE-relaxed structure.

Principal peaks in the range 2θ = 10–90°, by angle:
| 2θ (°) | intensity | h k l |
| --- | --- | --- |
| 33.8 | 46 | 1 0 3 |
| 34.4 | 100 | 1 1 2 |
| 41.5 | 11 | 1 0 4 |
| 41.9 | 60 | 2 0 0 |
| 46.7 | 16 | 1 1 4 |
| 49.9 | 14 | 1 0 5 |
| 54.9 | 23 | 2 1 3 |
| 60.7 | 19 | 2 2 0 |
| 67.1 | 11 | 2 1 5 |
| 71.7 | 22 | 3 1 2 |

```
data_La2CeNi4Ge3
_chemical_formula_sum 'La2 Ce1 Ni4 Ge3'
_cell_length_a 4.313
_cell_length_b 4.313
_cell_length_c 10.087
_cell_angle_alpha 90.00
_cell_angle_beta 90.00
_cell_angle_gamma 90.00
_space_group_name_H-M_alt 'P -4 m 2'
_space_group_IT_number 115
loop_
_space_group_symop_operation_xyz
'x,y,z'
'y,-x,-z'
'-x,-y,z'
'-y,x,-z'
'-x,y,z'
'-y,-x,-z'
'x,-y,z'
'y,x,-z'
loop_
_atom_site_label
_atom_site_fract_x
_atom_site_fract_y
_atom_site_fract_z
La1 0.000 0.500 0.223
Ce1 0.000 0.000 0.500
Ni1 0.000 0.000 0.000
Ni2 0.000 0.500 0.647
Ni3 0.500 0.500 0.000
Ge1 0.000 0.500 0.883
Ge2 0.500 0.500 0.500
```

=====

No. 3
This entry pairs a crystal structure of Sr4P5Pd5 with its simulated powder diffractogram. Radiation: Cu Ka. Structure: a GGA-PBE-relaxed structure.

Principal peaks in the range 2θ = 10–90°, by angle:
| 2θ (°) | intensity | h k l |
| --- | --- | --- |
| 30.5 | 31 | 0 8 2 |
| 32.8 | 100 | 1 5 2 |
| 41.4 | 24 | 0 0 4 |
| 43.0 | 25 | 1 13 0 |
| 43.1 | 21 | 2 0 0 |
| 53.7 | 12 | 2 8 2 |
| 61.3 | 32 | 2 0 4 |
| 69.8 | 10 | 1 21 2 |
| 70.1 | 11 | 1 5 6 |
| 72.5 | 10 | 3 5 2 |

```
data_Sr4P5Pd5
_chemical_formula_sum 'Sr16 P20 Pd20'
_cell_length_a 4.198
_cell_length_b 31.603
_cell_length_c 8.719
_cell_angle_alpha 90.00
_cell_angle_beta 90.00
_cell_angle_gamma 90.00
_space_group_name_H-M_alt 'C m c m'
_space_group_IT_number 63
_space_group_name_Hall '-C 2c 2'
loop_
_atom_site_label
_atom_site_fract_x
_atom_site_fract_y
_atom_site_fract_z
Sr1 0.000 0.079 0.001
Sr2 0.000 0.306 0.506
P1 0.000 0.156 0.250
P2 0.000 0.157 0.750
P3 0.000 0.229 0.750
P4 0.000 0.456 0.250
P5 0.000 0.458 0.750
Pd1 0.000 0.000 0.250
Pd2 0.000 0.234 0.250
Pd3 0.000 0.380 0.250
Pd4 0.000 0.381 0.750
Pd5 0.000 0.500 0.000
```

=====

No. 4
This entry pairs a crystal structure of In3GeS with its simulated powder diffractogram. Radiation: Cu Ka. Structure: a GGA-PBE-relaxed structure.

Principal peaks in the range 2θ = 10–90°, by angle:
| 2θ (°) | intensity | h k l |
| --- | --- | --- |
| 16.6 | 65 | 1 0 0 |
| 28.9 | 89 | 1 1 1 |
| 33.5 | 100 | 2 0 0 |
| 37.6 | 35 | 2 1 0 |
| 48.2 | 70 | 2 2 0 |
| 51.3 | 18 | 3 0 0 |
| 57.2 | 37 | 3 1 1 |
| 60.0 | 24 | 2 2 2 |
| 80.4 | 30 | 4 2 0 |
| 89.9 | 24 | 4 2 2 |

```
data_In3GeS
_chemical_formula_sum 'In3 Ge1 S1'
_cell_length_a 5.344
_cell_length_b 5.344
_cell_length_c 5.344
_cell_angle_alpha 90.00
_cell_angle_beta 90.00
_cell_angle_gamma 90.00
_space_group_name_H-M_alt 'P m -3 m'
_space_group_IT_number 221
_space_group_name_Hall '-P 4 2 3'
loop_
_atom_site_label
_atom_site_fract_x
_atom_site_fract_y
_atom_site_fract_z
In1 0.000 0.000 0.500
Ge1 0.000 0.000 0.000
S1 0.500 0.500 0.500
```

=====

No. 5
This entry pairs a crystal structure of LaPr11 with its simulated powder diffractogram. Radiation: Cu Ka. Structure: a GGA-PBE-relaxed structure.

Principal peaks in the range 2θ = 10–90°, by angle:
| 2θ (°) | intensity | h k l |
| --- | --- | --- |
| 28.9 | 25 | 1 1 1 |
| 30.2 | 51 | 2 0 1 |
| 30.4 | 100 | 2 2 0 |
| 33.9 | 15 | 2 1 1 |
| 36.2 | 14 | 3 0 1 |
| 43.4 | 19 | 4 0 1 |
| 53.9 | 19 | 4 2 1 |
| 54.0 | 19 | 6 0 0 |
| 59.8 | 29 | 2 2 2 |
| 76.8 | 13 | 6 0 2 |

```
data_LaPr11
_chemical_formula_sum 'La1 Pr11'
_cell_length_a 11.7687
_cell_length_b 11.7687
_cell_length_c 3.6384
_cell_angle_alpha 90.00
_cell_angle_beta 90.00
_cell_angle_gamma 120.00
_space_group_name_H-M_alt 'P 6/m m m'
_space_group_IT_number 191
_space_group_name_Hall '-P 6 2'
loop_
_atom_site_label
_atom_site_fract_x
_atom_site_fract_y
_atom_site_fract_z
La1 0.0000 0.0000 0.0000
Pr1 0.0000 0.5000 0.0000
Pr2 0.1736 0.3472 0.5000
Pr3 0.3333 0.6667 0.0000
```

=====

No. 6
This entry pairs a crystal structure of Al5Mo with its simulated powder diffractogram. Radiation: Cu Ka. Structure: a GGA-PBE-relaxed structure.

Principal peaks in the range 2θ = 10–90°, by angle:
| 2θ (°) | intensity | h k l |
| --- | --- | --- |
| 20.2 | 15 | 0 0 10 |
| 22.3 | 26 | 1 0 4 |
| 24.1 | 20 | 0 1 6 |
| 36.4 | 26 | 1 1 0 |
| 37.9 | 18 | 1 1 5 |
| 41.0 | 26 | 0 0 20 |
| 42.0 | 100 | 1 1 10 |
| 65.5 | 19 | 3 0 0 |
| 75.4 | 17 | 1 1 30 |
| 80.3 | 21 | 3 0 20 |

```
data_Al5Mo
_chemical_formula_sum 'Al50 Mo10'
_cell_length_a 4.9361
_cell_length_b 4.9361
_cell_length_c 43.9842
_cell_angle_alpha 90.00
_cell_angle_beta 90.00
_cell_angle_gamma 120.00
_space_group_name_H-M_alt 'P 3 2 1'
_space_group_IT_number 150
loop_
_space_group_symop_operation_xyz
'x,y,z'
'-y,x-y,z'
'-x+y,-x,z'
'y,x,-z'
'x-y,-y,-z'
'-x,-x+y,-z'
loop_
_atom_site_label
_atom_site_fract_x
_atom_site_fract_y
_atom_site_fract_z
Al1 0.0000 0.0000 0.0483
Al2 0.0000 0.0000 0.2498
Al3 0.0000 0.0000 0.4514
Al4 0.0000 0.3444 0.0000
Al5 0.0000 0.6573 0.5000
Al6 0.0072 0.6736 0.7002
Al7 0.0083 0.3318 0.8004
Al8 0.0094 0.3343 0.6000
Al9 0.0110 0.6771 0.0996
Al10 0.3333 0.6667 0.1513
Al11 0.3333 0.6667 0.2499
Al12 0.3333 0.6667 0.3499
Al13 0.3333 0.6667 0.4483
Al14 0.3333 0.6667 0.6502
Al15 0.3333 0.6667 0.8517
Al16 0.3333 0.6667 0.9486
Mo1 0.0000 0.0000 0.1489
Mo2 0.0000 0.0000 0.3504
Mo3 0.3333 0.6667 0.0496
Mo4 0.3333 0.6667 0.5494
Mo5 0.3333 0.6667 0.7509
```

=====

No. 7
This entry pairs a crystal structure of Rb3Ba3OsO8 with its simulated powder diffractogram. Radiation: Cu Ka. Structure: a GGA-PBE-relaxed structure.

Principal peaks in the range 2θ = 10–90°, by angle:
| 2θ (°) | intensity | h k l |
| --- | --- | --- |
| 13.4 | 47 | 0 0 3 |
| 14.1 | 29 | 1 0 1 |
| 27.0 | 44 | 0 0 6 |
| 27.3 | 17 | 0 2 1 |
| 28.4 | 90 | 2 0 2 |
| 32.6 | 100 | 0 2 4 |
| 45.8 | 33 | 2 0 8 |
| 47.6 | 31 | 2 2 0 |
| 54.0 | 19 | 0 2 10 |
| 55.6 | 32 | 2 2 6 |

```
data_Rb3Ba3OsO8
_chemical_formula_sum 'Rb9 Ba9 Os3 O24'
_cell_length_a 7.6422
_cell_length_b 7.6422
_cell_length_c 19.7863
_cell_angle_alpha 90.00
_cell_angle_beta 90.00
_cell_angle_gamma 120.00
_space_group_name_H-M_alt 'R -3 m'
_space_group_IT_number 166
_space_group_name_Hall '-R 3 2"'
loop_
_atom_site_label
_atom_site_fract_x
_atom_site_fract_y
_atom_site_fract_z
Rb1 0.0000 0.5000 0.0000
Ba1 0.0000 0.5000 0.5000
Os1 0.0000 0.0000 0.5000
O1 0.0000 0.0000 0.2354
O2 0.0913 0.5456 0.2219
```